1.
Simulated PXRD pattern of KCu3SnSe4 for CuKα, from a crystal structure in OQMD, relaxed with GGA-PBE.
No peak broadening, texture or thermal motion is included.

Atomic structure:
Unit cell a=6.268 b=6.268 c=6.268 alpha=90.00 beta=90.00 gamma=90.00
Fractional positions:
K  0.000  0.000  0.000
Cu  0.000  0.500  0.500
Cu  0.500  0.000  0.500
Cu  0.500  0.500  0.000
Sn  0.500  0.500  0.500
Se  0.270  0.270  0.270
Se  0.270  0.730  0.730
Se  0.730  0.270  0.730
Se  0.730  0.730  0.270

Principal peaks in the range 10 to 80 degrees two-theta, low angle first:
- 14.13 deg, intensity 54
- 20.03 deg, intensity 14
- 24.60 deg, intensity 66
- 31.93 deg, intensity 11
- 35.07 deg, intensity 10
- 40.72 deg, intensity 100
- 43.31 deg, intensity 14
- 48.15 deg, intensity 27
- 52.65 deg, intensity 15
- 58.94 deg, intensity 15
- 64.84 deg, intensity 9
- 74.10 deg, intensity 29

2.
Simulated PXRD pattern of Na4AgP2Au for CuKα, from a crystal structure in OQMD, relaxed with GGA-PBE.
No peak broadening, texture or thermal motion is included.

Atomic structure:
Unit cell a=5.556 b=5.556 c=5.733 alpha=90.54 beta=90.54 gamma=102.55
Fractional positions:
Na  0.033  0.676  0.753
Na  0.324  0.967  0.247
Na  0.676  0.033  0.753
Na  0.967  0.324  0.247
Ag  0.500  0.500  0.500
P  0.216  0.216  0.750
P  0.784  0.784  0.250
Au  0.500  0.500  0.000

Principal peaks in the range 10 to 80 degrees two-theta, low angle first:
- 16.35 deg, intensity 100
- 20.49 deg, intensity 41
- 25.63 deg, intensity 12
- 33.04 deg, intensity 19
- 33.59 deg, intensity 31
- 35.24 deg, intensity 26
- 35.60 deg, intensity 26
- 37.62 deg, intensity 17
- 40.30 deg, intensity 22
- 40.49 deg, intensity 11
- 45.79 deg, intensity 12
- 46.36 deg, intensity 19

3.
Simulated PXRD pattern of TbEr2As3 for CuKα, from a crystal structure in OQMD, relaxed with GGA-PBE.
No peak broadening, texture or thermal motion is included.

Atomic structure:
Unit cell a=4.094 b=4.094 c=10.022 alpha=90.00 beta=90.00 gamma=120.00
Fractional positions:
Tb  0.000  0.000  0.000
Er  0.333  0.667  0.335
Er  0.667  0.333  0.665
As  0.000  0.000  0.500
As  0.333  0.667  0.830
As  0.667  0.333  0.170

Principal peaks in the range 10 to 80 degrees two-theta, low angle first:
- 26.67 deg, intensity 24
- 30.90 deg, intensity 100
- 44.26 deg, intensity 74
- 52.43 deg, intensity 12
- 54.95 deg, intensity 26
- 64.38 deg, intensity 12
- 70.98 deg, intensity 5
- 73.11 deg, intensity 33

4.
Simulated PXRD pattern of Co2BIr for CuKα, from a crystal structure in OQMD, relaxed with GGA-PBE.
No peak broadening, texture or thermal motion is included.

Atomic structure:
Unit cell a=3.903 b=3.903 c=3.903 alpha=60.00 beta=60.00 gamma=60.00
Fractional positions:
Co  0.000  0.000  0.000
Co  0.250  0.250  0.250
B  0.500  0.500  0.500
Ir  0.750  0.750  0.750

Principal peaks in the range 10 to 80 degrees two-theta, low angle first:
- 28.00 deg, intensity 49
- 32.44 deg, intensity 43
- 46.54 deg, intensity 100
- 55.20 deg, intensity 24
- 57.88 deg, intensity 12
- 67.94 deg, intensity 16
- 75.01 deg, intensity 10
- 77.32 deg, intensity 15

5.
Simulated PXRD pattern of PrNdZn6 for CuKα, from a crystal structure in OQMD, relaxed with GGA-PBE.
No peak broadening, texture or thermal motion is included.

Atomic structure:
Unit cell a=4.802 b=6.769 c=4.804 alpha=90.00 beta=90.00 gamma=90.00
Fractional positions:
Pr  0.000  0.000  0.000
Nd  0.500  0.500  0.492
Zn  0.000  0.251  0.501
Zn  0.000  0.500  0.999
Zn  0.000  0.749  0.501
Zn  0.500  0.000  0.493
Zn  0.500  0.251  0.991
Zn  0.500  0.749  0.991

Principal peaks in the range 10 to 80 degrees two-theta, low angle first:
- 22.70 deg, intensity 10
- 26.27 deg, intensity 5
- 37.49 deg, intensity 100
- 44.24 deg, intensity 3
- 44.36 deg, intensity 2
- 46.36 deg, intensity 1
- 54.00 deg, intensity 11
- 54.20 deg, intensity 6
- 59.41 deg, intensity 1
- 67.60 deg, intensity 22
- 67.74 deg, intensity 11
- 79.88 deg, intensity 3

6.
Simulated PXRD pattern of NaPr3Ge4O13 for CuKα, from a crystal structure in OQMD, relaxed with GGA-PBE.
No peak broadening, texture or thermal motion is included.

Atomic structure:
Unit cell a=6.889 b=7.110 c=11.821 alpha=102.43 beta=98.64 gamma=91.42
Fractional positions:
Na  0.122  0.304  0.349
Na  0.878  0.696  0.651
Pr  0.049  0.825  0.353
Pr  0.275  0.588  0.866
Pr  0.448  0.963  0.167
Pr  0.552  0.037  0.833
Pr  0.725  0.412  0.134
Pr  0.951  0.175  0.647
Ge  0.114  0.099  0.899
Ge  0.228  0.439  0.124
Ge  0.308  0.656  0.596
Ge  0.406  0.221  0.566
Ge  0.594  0.779  0.434
Ge  0.692  0.344  0.404
Ge  0.772  0.561  0.876
Ge  0.886  0.901  0.101
O  0.047  0.293  0.010
O  0.065  0.514  0.222
O  0.105  0.995  0.195
O  0.148  0.612  0.467
O  0.188  0.078  0.518
O  0.242  0.810  0.718
O  0.246  0.225  0.816
O  0.287  0.951  0.958
O  0.321  0.437  0.652
O  0.360  0.613  0.073
O  0.405  0.856  0.344
O  0.412  0.294  0.167
O  0.452  0.282  0.432
O  0.548  0.718  0.568
O  0.588  0.706  0.833
O  0.595  0.144  0.656
O  0.640  0.387  0.927
O  0.679  0.563  0.348
O  0.713  0.049  0.042
O  0.754  0.775  0.184
O  0.758  0.190  0.282
O  0.812  0.922  0.482
O  0.852  0.388  0.533
O  0.895  0.005  0.805
O  0.935  0.486  0.778
O  0.953  0.707  0.990

Principal peaks in the range 10 to 80 degrees two-theta, low angle first:
- 19.06 deg, intensity 15
- 28.35 deg, intensity 19
- 28.54 deg, intensity 100
- 28.69 deg, intensity 24
- 29.11 deg, intensity 23
- 29.96 deg, intensity 21
- 30.83 deg, intensity 47
- 31.40 deg, intensity 31
- 32.77 deg, intensity 15
- 33.55 deg, intensity 16
- 41.87 deg, intensity 15
- 49.47 deg, intensity 15